[1]
Starting from a DFT-relaxed cell (PBE, OQMD), the PXRD pattern of Dy3Zr3Be2 was simulated for Cu Kα, 1.54184 Å.
Neutral-atom scattering factors, no anomalous dispersion.

Crystal structure
```
data_Dy3Zr3Be2
_space_group_name_H-M_alt 'P -4 m 2'
_space_group_IT_number 115
_space_group_name_Hall 'P -4 -2'
_cell_length_a 4.1290
_cell_length_b 4.1290
_cell_length_c 12.8882
_cell_angle_alpha 90.00
_cell_angle_beta 90.00
_cell_angle_gamma 90.00
loop_
_atom_site_label
_atom_site_type_symbol
_atom_site_fract_x
_atom_site_fract_y
_atom_site_fract_z
Dy1 Dy 0.0000 0.0000 0.0000
Dy2 Dy 0.0000 0.0000 0.2371
Zr1 Zr 0.0000 0.0000 0.5000
Zr2 Zr 0.5000 0.5000 0.0000
Zr3 Zr 0.5000 0.5000 0.5000
Be1 Be 0.0000 0.5000 0.6218
```

Principal peaks in the range 2θ = 10–90°, low angle first:
| 2θ/deg | I_rel |
| --- | --- |
| 21.52 | 64 |
| 25.62 | 35 |
| 27.69 | 62 |
| 30.62 | 100 |
| 35.33 | 33 |
| 41.75 | 87 |
| 43.85 | 40 |
| 52.65 | 42 |
| 66.26 | 18 |
| 79.15 | 26 |

[2]
Starting from a DFT-relaxed cell (PBE, OQMD), the PXRD pattern of GdErBe2Si2 was simulated for Cu Kα, 1.54184 Å.
Neutral-atom scattering factors, no anomalous dispersion.

Crystal structure
```
data_GdErBe2Si2
_space_group_name_H-M_alt 'P -3 m 1'
_space_group_IT_number 164
_space_group_name_Hall '-P 3 2"'
_cell_length_a 3.8742
_cell_length_b 3.8742
_cell_length_c 8.0524
_cell_angle_alpha 90.00
_cell_angle_beta 90.00
_cell_angle_gamma 120.00
loop_
_atom_site_label
_atom_site_type_symbol
_atom_site_fract_x
_atom_site_fract_y
_atom_site_fract_z
Gd1 Gd 0.0000 0.0000 0.0000
Er1 Er 0.0000 0.0000 0.5000
Be1 Be 0.3333 0.6667 0.7459
Si1 Si 0.3333 0.6667 0.2546
```

Principal peaks in the range 2θ = 10–90°, low angle first:
| 2θ/deg | I_rel |
| --- | --- |
| 22.08 | 25 |
| 26.57 | 64 |
| 34.81 | 100 |
| 46.90 | 26 |
| 52.42 | 16 |
| 53.05 | 20 |
| 59.71 | 21 |
| 67.05 | 18 |
| 76.44 | 10 |
| 79.19 | 19 |

[3]
Starting from a DFT-relaxed cell (PBE, OQMD), the PXRD pattern of Er2BeGe4O12 was simulated for Cu Kα, 1.54184 Å.
Neutral-atom scattering factors, no anomalous dispersion.

Crystal structure
```
data_Er2BeGe4O12
_space_group_name_H-M_alt 'P -1'
_space_group_IT_number 2
_space_group_name_Hall '-P 1'
_cell_length_a 4.7429
_cell_length_b 7.0311
_cell_length_c 7.7547
_cell_angle_alpha 66.98
_cell_angle_beta 86.95
_cell_angle_gamma 76.52
loop_
_atom_site_label
_atom_site_type_symbol
_atom_site_fract_x
_atom_site_fract_y
_atom_site_fract_z
Er1 Er 0.0629 0.2669 0.4496
Be1 Be 0.0000 0.5000 0.0000
Ge1 Ge 0.4130 0.8687 0.8032
Ge2 Ge 0.4650 0.6630 0.2218
O1 O 0.2290 0.5077 0.8145
O2 O 0.2306 0.7947 0.0155
O3 O 0.2337 0.5611 0.3990
O4 O 0.2393 0.9123 0.5944
O5 O 0.2398 0.2929 0.1715
O6 O 0.3997 0.1498 0.7237
```

Principal peaks in the range 2θ = 10–90°, low angle first:
| 2θ/deg | I_rel |
| --- | --- |
| 12.41 | 83 |
| 22.52 | 56 |
| 23.42 | 46 |
| 26.43 | 41 |
| 28.35 | 37 |
| 28.74 | 100 |
| 31.06 | 34 |
| 32.39 | 72 |
| 35.37 | 30 |
| 51.18 | 24 |

[4]
Starting from a DFT-relaxed cell (PBE, OQMD), the PXRD pattern of ErBeTlSe3 was simulated for Cu Kα, 1.54184 Å.
Neutral-atom scattering factors, no anomalous dispersion.

Crystal structure
```
data_ErBeTlSe3
_space_group_name_H-M_alt 'C m c m'
_space_group_IT_number 63
_space_group_name_Hall '-C 2c 2'
_cell_length_a 3.9563
_cell_length_b 14.9418
_cell_length_c 10.7517
_cell_angle_alpha 90.00
_cell_angle_beta 90.00
_cell_angle_gamma 90.00
loop_
_atom_site_label
_atom_site_type_symbol
_atom_site_fract_x
_atom_site_fract_y
_atom_site_fract_z
Er1 Er 0.0000 0.0000 0.0000
Be1 Be 0.0000 0.4631 0.2500
Tl1 Tl 0.0000 0.2503 0.7500
Se1 Se 0.0000 0.0568 0.2500
Se2 Se 0.0000 0.3778 0.0780
```

Principal peaks in the range 2θ = 10–90°, low angle first:
| 2θ/deg | I_rel |
| --- | --- |
| 20.35 | 100 |
| 28.82 | 45 |
| 30.02 | 94 |
| 33.36 | 49 |
| 34.29 | 48 |
| 39.90 | 32 |
| 41.04 | 29 |
| 41.40 | 59 |
| 45.87 | 25 |
| 55.21 | 25 |